For Nd6Tm2Cd, a crystal structure in Alexandria, relaxed with PBE gives the calculated X-ray diffraction stick pattern in this record (Cu Kα X-rays).
Peak positions follow from Bragg's law for the DFT cell and can differ from measured ones.

Main lines, sorted by position (2θ from 10° to 90°):
- 2θ = 30.29°, intensity 48, (1 1 -4)
- 2θ = 31.12°, intensity 50, (1 1 5)
- 2θ = 31.46°, intensity 100, (0 2 2)
- 2θ = 31.74°, intensity 61, (2 0 -1)
- 2θ = 32.33°, intensity 58, (1 -1 3)
- 2θ = 58.15°, intensity 17, (3 -1 2)

Cell and atoms:
abc: 6.5765 6.6849 15.4517
angles: 81.06 83.63 61.69
Space group P-1 (No. 2)
Symmetry-distinct sites (fractional):
Nd (0.0047, 0.3279, 0.4204) [2 per cell]
Nd (0.1571, 0.8088, 0.8661) [2 per cell]
Nd (0.2584, 0.2419, 0.9789) [2 per cell]
Nd (0.2778, 0.6513, 0.0968) [2 per cell]
Nd (0.4497, 0.7903, 0.4677) [2 per cell]
Nd (0.4803, 0.4715, 0.3095) [2 per cell]
Tm (0.0878, 0.0996, 0.6530) [2 per cell]
Tm (0.3835, 0.0514, 0.2250) [2 per cell]
Cd (0.1015, 0.4157, 0.7770) [2 per cell]



For Nd3Tm2Cd3, a crystal structure in Alexandria, relaxed with PBE gives the calculated X-ray diffraction stick pattern in this record (Cu Kα X-rays).
Peak positions follow from Bragg's law for the DFT cell and can differ from measured ones.

Main lines, sorted by position (2θ from 10° to 90°):
- 2θ = 31.76°, intensity 24, (0 0 8)
- 2θ = 32.53°, intensity 27, (0 2 0)
- 2θ = 33.02°, intensity 100, (1 1 4)
- 2θ = 46.10°, intensity 17, (0 2 8)
- 2θ = 57.39°, intensity 14, (1 1 12)
- 2θ = 58.35°, intensity 19, (1 3 4)

Cell and atoms:
abc: 3.7422 5.5050 22.5385
angles: 90.00 90.00 90.00
Space group Immm (No. 71)
Symmetry-distinct sites (fractional):
Nd (0.0000, 0.0000, 0.0000) [2 per cell]
Nd (0.0000, 0.5000, 0.1251) [4 per cell]
Tm (0.0000, 0.0000, 0.2352) [4 per cell]
Cd (0.0000, 0.0000, 0.5000) [2 per cell]
Cd (0.0000, 0.5000, 0.3779) [4 per cell]



For NdTmCd3, a crystal structure in Alexandria, relaxed with PBE gives the calculated X-ray diffraction stick pattern in this record (Cu Kα X-rays).
Peak positions follow from Bragg's law for the DFT cell and can differ from measured ones.

Main lines, sorted by position (2θ from 10° to 90°):
- 2θ = 32.62°, intensity 100, (1 3 1)
- 2θ = 33.36°, intensity 48, (1 7 0)
- 2θ = 35.17°, intensity 84, (0 10 1)
- 2θ = 35.77°, intensity 44, (0 0 2)
- 2θ = 49.71°, intensity 31, (1 7 2)
- 2θ = 64.92°, intensity 27, (2 10 1)

Cell and atoms:
abc: 3.4760 29.6245 5.0203
angles: 90.00 90.00 90.00
Space group Cmcm (No. 63)
Symmetry-distinct sites (fractional):
Nd (0.0000, 0.0755, 0.2500) [4 per cell]
Tm (0.0000, 0.2153, 0.7500) [4 per cell]
Cd (0.0000, 0.3214, 0.7500) [4 per cell]
Cd (0.0000, 0.3760, 0.2500) [4 per cell]
Cd (0.0000, 0.4756, 0.2500) [4 per cell]